Starting from a structure optimized by DFT (PBE), the powder diffraction line list of BaYZn3GaO7 was computed for CuKα.
Intensities are scaled so that the largest is 100.

The 8 most intense peaks (10 to 90 degrees two-theta), sorted by position:
index  Position (°2θ)  I/Imax
1 1 0  27.80  39
1 0 3  30.25  85
1 1 2  32.73  78
2 0 1  33.36  100
2 1 3  50.72  37
0 0 6  52.40  27
2 0 5  54.91  30
2 2 0  57.43  41

Cell and atoms:
abc: 6.4185 6.4185 10.4659
angles: 90.00 90.00 120.00
Positions (direct):
Ba 0.3333 0.6667 0.0000
Ba 0.6667 0.3333 0.5000
Y 0.3333 0.6667 0.6536
Y 0.6667 0.3333 0.1536
Zn 0.1708 0.3417 0.3382
Zn 0.1708 0.8292 0.3382
Zn 0.3417 0.1708 0.8382
Zn 0.6583 0.8292 0.3382
Zn 0.8292 0.1708 0.8382
Zn 0.8292 0.6583 0.8382
Ga 0.0000 0.0000 0.0883
Ga 0.0000 0.0000 0.5883
O 0.0000 0.0000 0.2692
O 0.0000 0.0000 0.7692
O 0.0162 0.5081 0.7886
O 0.1591 0.3183 0.5312
O 0.1591 0.8409 0.5312
O 0.3183 0.1591 0.0312
O 0.4919 0.5081 0.7886
O 0.4919 0.9838 0.7886
O 0.5081 0.0162 0.2886
O 0.5081 0.4919 0.2886
O 0.6817 0.8409 0.5312
O 0.8409 0.1591 0.0312
O 0.8409 0.6817 0.0312
O 0.9838 0.4919 0.2886